For Tl4In2Bi3, the PBE geometry in Alexandria gives the theoretical powder diffraction line list in this record (copper Kα).

Cell and atoms:
```
Tl4In2Bi3
1.0
8.506 -5.719 0.000
8.506 5.719 0.000
-0.450 0.000 5.829
Tl In Bi
8 4 6
direct
0.028 0.828 0.945
0.172 0.972 0.555
0.175 0.361 0.082
0.361 0.175 0.582
0.639 0.825 0.418
0.825 0.639 0.918
0.828 0.028 0.445
0.972 0.172 0.055
0.310 0.506 0.736
0.494 0.690 0.764
0.506 0.310 0.236
0.690 0.494 0.264
0.023 0.644 0.434
0.333 0.667 0.250
0.356 0.977 0.066
0.644 0.023 0.934
0.667 0.333 0.750
0.977 0.356 0.566
```

The 12 most intense peaks (15° ≤ 2θ ≤ 90°), by angle:
d_spacing  I/Imax
3.161  245
3.112  580
2.934  713
2.864  1000
2.820  510
2.534  195
2.481  269
2.375  201
2.313  191
1.859  167
1.596  193
1.559  197

=====

For Tl6InBi, the PBE geometry in Alexandria gives the theoretical powder diffraction line list in this record (copper Kα).

Cell and atoms:
```
Tl6InBi
1.0
5.151 0.000 0.000
0.000 5.151 0.000
0.000 0.000 9.283
Tl In Bi
6 1 1
direct
0.000 0.000 0.000
0.000 0.000 0.500
0.000 0.500 0.249
0.000 0.500 0.751
0.500 0.000 0.249
0.500 0.000 0.751
0.500 0.500 0.500
0.500 0.500 0.000
```

The 12 most intense peaks (15° ≤ 2θ ≤ 90°), by angle:
d_spacing  I/Imax
2.865  1000
2.576  375
2.321  140
1.821  136
1.724  230
1.537  316
1.433  125
1.424  123
1.175  67
1.152  64
1.126  60
1.122  119

=====

For Tl7In5Bi, the PBE geometry in Alexandria gives the theoretical powder diffraction line list in this record (copper Kα).

Cell and atoms:
```
Tl7In5Bi
1.0
6.623 -6.114 0.000
6.623 6.114 0.000
-2.082 0.000 4.863
Tl In Bi
7 5 1
direct
0.000 0.000 0.000
0.171 0.562 0.862
0.562 0.171 0.862
0.565 0.565 0.061
0.734 0.998 0.363
0.736 0.736 0.731
0.998 0.734 0.363
0.169 0.169 0.667
0.364 0.973 0.165
0.367 0.778 0.570
0.778 0.367 0.570
0.973 0.364 0.165
0.361 0.361 0.358
```

The 12 most intense peaks (15° ≤ 2θ ≤ 90°), by angle:
d_spacing  I/Imax
3.229  149
2.856  1000
2.845  994
2.728  147
2.645  516
2.586  222
1.726  219
1.615  139
1.566  166
1.561  167
1.448  156
1.381  193

=====

For Tl4In5Bi4, the PBE geometry in Alexandria gives the theoretical powder diffraction line list in this record (copper Kα).

Cell and atoms:
```
Tl4In5Bi4
1.0
6.452 0.000 0.000
0.015 6.674 0.000
0.200 2.169 9.347
Tl In Bi
4 5 4
direct
0.030 0.402 0.345
0.289 0.835 0.082
0.711 0.165 0.918
0.970 0.598 0.655
0.265 0.926 0.411
0.481 0.680 0.772
0.500 0.500 0.500
0.519 0.320 0.228
0.735 0.074 0.589
0.192 0.351 0.971
0.219 0.091 0.700
0.781 0.909 0.300
0.808 0.649 0.029
```

The 12 most intense peaks (15° ≤ 2θ ≤ 90°), by angle:
d_spacing  I/Imax
3.116  270
3.062  210
2.952  223
2.887  816
2.875  813
2.812  1000
2.783  554
2.713  900
2.701  887
2.054  430
1.613  218
1.599  229

=====

For Tl4In3Bi, the PBE geometry in Alexandria gives the theoretical powder diffraction line list in this record (copper Kα).

Cell and atoms:
```
Tl4In3Bi
1.0
-1.767 2.927 11.585
1.767 -2.927 11.585
1.767 2.927 -11.585
Tl In Bi
4 3 1
direct
0.130 0.130 0.000
0.263 0.763 0.500
0.737 0.237 0.500
0.870 0.870 0.000
0.385 0.385 0.000
0.500 0.000 0.500
0.615 0.615 0.000
0.000 0.500 0.500
```

The 12 most intense peaks (15° ≤ 2θ ≤ 90°), by angle:
d_spacing  I/Imax
2.927  335
2.896  267
2.881  108
2.681  1000
2.059  204
1.767  77
1.638  230
1.627  153
1.512  92
1.507  109
1.341  103
1.132  71

=====

For Tl2In3Bi3, the PBE geometry in Alexandria gives the theoretical powder diffraction line list in this record (copper Kα).

Cell and atoms:
```
Tl2In3Bi3
1.0
9.217 0.000 0.000
-4.608 7.982 0.000
0.000 0.000 3.509
Tl In Bi
2 3 3
direct
0.333 0.667 0.000
0.667 0.333 0.000
0.000 0.272 0.000
0.272 0.000 0.000
0.728 0.728 0.000
0.000 0.657 0.500
0.343 0.343 0.500
0.657 0.000 0.500
```

The 12 most intense peaks (15° ≤ 2θ ≤ 90°), by angle:
d_spacing  I/Imax
4.608  131
3.991  89
3.017  176
2.792  1000
2.661  688
2.635  112
2.288  123
1.926  279
1.560  329
1.536  93
1.465  226
1.201  86

=====

For Tl2ZnInBi2, the PBE geometry in Alexandria gives the theoretical powder diffraction line list in this record (copper Kα).

Cell and atoms:
```
Tl2ZnInBi2
1.0
-3.442 8.005 3.426
3.442 -8.005 3.426
3.442 8.005 -3.426
Tl Zn In Bi
4 2 2 4
direct
0.175 0.223 0.397
0.325 0.723 0.048
0.675 0.277 0.952
0.825 0.777 0.603
0.250 0.750 0.500
0.750 0.250 0.500
0.250 0.250 0.000
0.750 0.750 0.000
0.114 0.715 0.829
0.386 0.215 0.601
0.614 0.785 0.399
0.886 0.285 0.171
```

The 12 most intense peaks (15° ≤ 2θ ≤ 90°), by angle:
d_spacing  I/Imax
3.442  441
3.426  541
3.162  294
3.149  305
3.089  1000
3.020  255
2.610  620
2.603  702
2.428  997
2.339  480
1.906  260
1.521  273